Ba2GaWO6: simulated powder X-ray diffraction pattern (Cu Ka), based on the PBE+U geometry in Alexandria.
Peak positions follow from Bragg's law for the DFT cell and can differ from measured ones.

The 10 most intense peaks (2θ = 10–90°), low angle first:
2θ/deg  I_rel
18.47  14
27.89  25
30.37  100
35.84  17
41.69  18
43.51  12
47.65  11
53.95  26
63.14  13
87.68  11

```
data_Ba2GaWO6
_cell_length_a 5.8898
_cell_length_b 5.8898
_cell_length_c 28.7548
_cell_angle_alpha 90.00
_cell_angle_beta 90.00
_cell_angle_gamma 120.00
_symmetry_space_group_name_H-M 'R -3 m'
_symmetry_Int_Tables_number 166
_symmetry_space_group_name_Hall '-R 3 2"'
loop_
_atom_site_label
_atom_site_type_symbol
_atom_site_fract_x
_atom_site_fract_y
_atom_site_fract_z
Ba1 Ba 0.0000 0.0000 0.1278
Ba2 Ba 0.0000 0.0000 0.2826
Ga1 Ga 0.0000 0.0000 0.4049
W1 W 0.0000 0.0000 0.0000
W2 W 0.0000 0.0000 0.5000
O1 O 0.0044 0.5022 0.7059
O2 O 0.0257 0.5128 0.1232
```